No. 1
This entry pairs a crystal structure of NaGaPtO6 with its theoretical X-ray diffraction stick pattern. Radiation: λ = 1.5418 Å (Cu Kα). Structure: a DFT-relaxed cell (PBE, Alexandria).

Atomic structure:
a b c (Å): 5.1964 5.1964 10.1870
angles (deg): 90.00 90.00 120.00
Fractional positions:
Na (0.0000, 0.0000, 0.0000)
Na (0.0000, 0.0000, 0.5000)
Ga (0.3333, 0.6667, 0.2500)
Ga (0.6667, 0.3333, 0.7500)
Pt (0.3333, 0.6667, 0.7500)
Pt (0.6667, 0.3333, 0.2500)
O (0.0081, 0.3717, 0.6456)
O (0.0081, 0.6364, 0.8544)
O (0.3636, 0.3717, 0.8544)
O (0.3636, 0.9919, 0.6456)
O (0.3717, 0.0081, 0.1456)
O (0.3717, 0.3636, 0.3544)
O (0.6283, 0.6364, 0.6456)
O (0.6283, 0.9919, 0.8544)
O (0.6364, 0.0081, 0.3544)
O (0.6364, 0.6283, 0.1456)
O (0.9919, 0.3636, 0.1456)
O (0.9919, 0.6283, 0.3544)

Top 10 peaks for 2θ = 10–90°, low angle first:
| 2θ/deg | d [Å] | I/Imax |
| --- | --- | --- |
| 17.41 | 5.094 | 100.0 |
| 19.73 | 4.500 | 45.1 |
| 21.59 | 4.116 | 53.9 |
| 26.43 | 3.372 | 79.7 |
| 34.52 | 2.598 | 45.1 |
| 38.91 | 2.314 | 65.2 |
| 43.99 | 2.058 | 17.9 |
| 50.16 | 1.819 | 57.8 |
| 57.09 | 1.613 | 18.1 |
| 61.85 | 1.500 | 18.1 |

---

No. 2
This entry pairs a crystal structure of NaPuGa2O6 with its theoretical X-ray diffraction stick pattern. Radiation: λ = 1.5418 Å (Cu Kα). Structure: a DFT-relaxed cell (PBE, Alexandria).

Atomic structure:
a b c (Å): 7.1262 7.1262 5.4510
angles (deg): 97.27 97.27 88.21
Fractional positions:
Na (0.0790, 0.9210, 0.7500)
Na (0.9210, 0.0790, 0.2500)
Pu (0.2802, 0.7198, 0.2500)
Pu (0.7198, 0.2802, 0.7500)
Ga (0.2111, 0.3896, 0.7036)
Ga (0.3896, 0.2111, 0.2036)
Ga (0.6104, 0.7889, 0.7964)
Ga (0.7889, 0.6104, 0.2964)
O (0.0036, 0.2391, 0.6454)
O (0.1677, 0.6179, 0.9024)
O (0.2391, 0.0036, 0.1454)
O (0.2885, 0.4242, 0.3930)
O (0.3821, 0.8323, 0.5976)
O (0.4242, 0.2885, 0.8930)
O (0.5758, 0.7115, 0.1070)
O (0.6179, 0.1677, 0.4024)
O (0.7115, 0.5758, 0.6070)
O (0.7609, 0.9964, 0.8546)
O (0.8323, 0.3821, 0.0976)
O (0.9964, 0.7609, 0.3546)

Top 10 peaks for 2θ = 10–90°, low angle first:
| 2θ/deg | d [Å] | I/Imax |
| --- | --- | --- |
| 17.88 | 4.960 | 32.6 |
| 19.49 | 4.553 | 77.0 |
| 22.00 | 4.040 | 93.1 |
| 25.20 | 3.534 | 100.0 |
| 28.45 | 3.137 | 53.5 |
| 30.18 | 2.961 | 74.7 |
| 32.00 | 2.797 | 35.9 |
| 32.22 | 2.778 | 72.4 |
| 33.40 | 2.683 | 47.1 |
| 35.12 | 2.555 | 36.0 |

---

No. 3
This entry pairs a crystal structure of Na2GaRh2O6 with its theoretical X-ray diffraction stick pattern. Radiation: λ = 1.5418 Å (Cu Kα). Structure: a DFT-relaxed cell (PBE, Alexandria).

Atomic structure:
a b c (Å): 5.2160 5.2160 5.7609
angles (deg): 98.86 98.86 117.78
Fractional positions:
Na (0.1747, 0.8253, 0.0000)
Na (0.8253, 0.1747, 0.0000)
Ga (0.0000, 0.0000, 0.5000)
Rh (0.3405, 0.6595, 0.5000)
Rh (0.6595, 0.3405, 0.5000)
O (0.0549, 0.3935, 0.6875)
O (0.2468, 0.2468, 0.2981)
O (0.3935, 0.0549, 0.6875)
O (0.6065, 0.9451, 0.3125)
O (0.7532, 0.7532, 0.7019)
O (0.9451, 0.6065, 0.3125)

Top 10 peaks for 2θ = 10–90°, low angle first:
| 2θ/deg | d [Å] | I/Imax |
| --- | --- | --- |
| 16.12 | 5.499 | 100.0 |
| 32.57 | 2.749 | 15.5 |
| 33.78 | 2.654 | 10.2 |
| 34.84 | 2.575 | 30.5 |
| 36.22 | 2.480 | 19.4 |
| 40.24 | 2.241 | 22.5 |
| 40.83 | 2.210 | 42.9 |
| 52.15 | 1.754 | 10.7 |
| 57.15 | 1.612 | 12.7 |
| 60.16 | 1.538 | 12.8 |

---

No. 4
This entry pairs a crystal structure of NaGaSe2O8 with its theoretical X-ray diffraction stick pattern. Radiation: λ = 1.5418 Å (Cu Kα). Structure: a DFT-relaxed cell (PBE, Alexandria).

Atomic structure:
a b c (Å): 8.5341 8.5341 8.5341
angles (deg): 33.67 33.67 33.67
Fractional positions:
Na (0.0000, 0.0000, 0.0000)
Ga (0.5000, 0.5000, 0.5000)
Se (0.2388, 0.2388, 0.2388)
Se (0.7612, 0.7612, 0.7612)
O (0.1176, 0.4715, 0.7614)
O (0.2386, 0.8824, 0.5285)
O (0.3070, 0.3070, 0.3070)
O (0.4715, 0.7614, 0.1176)
O (0.5285, 0.2386, 0.8824)
O (0.6930, 0.6930, 0.6930)
O (0.7614, 0.1176, 0.4715)
O (0.8824, 0.5285, 0.2386)

Top 10 peaks for 2θ = 10–90°, low angle first:
| 2θ/deg | d [Å] | I/Imax |
| --- | --- | --- |
| 11.00 | 8.043 | 43.8 |
| 22.04 | 4.032 | 18.7 |
| 25.52 | 3.491 | 100.0 |
| 33.39 | 2.683 | 13.1 |
| 36.39 | 2.469 | 53.6 |
| 44.94 | 2.017 | 17.5 |
| 52.42 | 1.745 | 9.1 |
| 59.12 | 1.563 | 16.8 |
| 59.24 | 1.560 | 13.6 |
| 65.43 | 1.426 | 20.5 |